1.
For Tb6NiSe3S2, DFT lattice parameters and positions (GGA-PBE) gives the simulated X-ray diffraction stick pattern in this record (Cu Kα (weighted mean of Kα1 and Kα2)).
No peak broadening, texture or thermal motion is included.

Principal peaks in the range 2θ from 10° to 80°, by intensity:
(1 1 -2), 31.47 deg, I = 100; (6 0 0), 31.23 deg, I = 52; (5 1 2), 45.10 deg, I = 37; (7 1 -2), 44.74 deg, I = 35; (3 1 0), 27.46 deg, I = 27; (6 2 0), 56.67 deg, I = 19; (2 0 -4), 44.15 deg, I = 18; (0 2 0), 46.03 deg, I = 18; (2 0 2), 26.87 deg, I = 14; (4 0 -2), 26.58 deg, I = 13

abc: 17.714 3.944 8.206
angles: 90.00 104.03 90.00
Space group C2/m (No. 12)
Inequivalent atoms, fractional coordinates:
Tb (0.002, 0.000, 0.229) [4 per cell]
Tb (0.161, 0.500, 0.091) [4 per cell]
Tb (0.170, 0.500, 0.572) [4 per cell]
Ni (0.000, 0.500, 0.000) [2 per cell]
Se (0.000, 0.500, 0.500) [2 per cell]
Se (0.170, 0.000, 0.831) [4 per cell]
S (0.168, 0.000, 0.336) [4 per cell]

=====

2.
For BaLi3Ge3, DFT lattice parameters and positions (GGA-PBE) gives the simulated X-ray diffraction stick pattern in this record (Cu Kα (weighted mean of Kα1 and Kα2)).
No peak broadening, texture or thermal motion is included.

Principal peaks in the range 2θ from 10° to 80°, by intensity:
(1 2 1), 34.31 deg, I = 100; (3 0 0), 29.60 deg, I = 41; (1 3 1), 42.35 deg, I = 30; (1 2 0), 26.04 deg, I = 24; (4 2 1), 58.56 deg, I = 22; (4 1 0), 45.93 deg, I = 21; (1 1 1), 27.87 deg, I = 18; (3 1 0), 35.75 deg, I = 16; (2 0 0), 19.61 deg, I = 16; (5 1 1), 61.44 deg, I = 14

abc: 10.4554 10.4554 4.0490
angles: 90.00 90.00 120.00
Space group P6_3/m (No. 176)
Inequivalent atoms, fractional coordinates:
Ba (0.3333, 0.6667, 0.2500) [2 per cell]
Li (0.1065, 0.3593, 0.7500) [6 per cell]
Ge (0.0442, 0.5886, 0.7500) [6 per cell]

=====

3.
For Li4TbZn8, DFT lattice parameters and positions (GGA-PBE) gives the simulated X-ray diffraction stick pattern in this record (Cu Kα (weighted mean of Kα1 and Kα2)).
No peak broadening, texture or thermal motion is included.

Principal peaks in the range 2θ from 10° to 80°, by intensity:
(3 2 1), 40.01 deg, I = 100; (2 0 0), 19.20 deg, I = 50; (3 0 1), 34.76 deg, I = 46; (0 0 2), 38.11 deg, I = 33; (4 0 0), 38.97 deg, I = 23; (2 1 1), 28.70 deg, I = 22; (6 3 1), 71.28 deg, I = 20; (3 2 3), 70.15 deg, I = 18; (2 0 2), 43.01 deg, I = 17; (4 0 2), 55.65 deg, I = 13

abc: 9.245 9.245 4.723
angles: 90.00 90.00 90.00
Space group I4/mmm (No. 139)
Inequivalent atoms, fractional coordinates:
Li (0.250, 0.250, 0.250) [8 per cell]
Tb (0.000, 0.000, 0.000) [2 per cell]
Zn (0.000, 0.218, 0.500) [8 per cell]
Zn (0.000, 0.357, 0.000) [8 per cell]